Theoretical XRD peak list
Compound: RbSiAg2Se4
Radiation: λ = 1.5418 Å (Cu Kα)
Structure: the GGA-PBE geometry in Alexandria

Crystal structure
```
data_RbSiAg2Se4
_symmetry_space_group_name_H-M 'I 2 2 2'
_symmetry_Int_Tables_number 23
_cell_length_a 7.0653
_cell_length_b 7.0760
_cell_length_c 8.6739
_cell_angle_alpha 90.00
_cell_angle_beta 90.00
_cell_angle_gamma 90.00
loop_
_symmetry_equiv_pos_as_xyz
'x,y,z'
'-x,-y,z'
'x,-y,-z'
'-x,y,-z'
'x+1/2,y+1/2,z+1/2'
'-x+1/2,-y+1/2,z+1/2'
'x+1/2,-y+1/2,-z+1/2'
'-x+1/2,y+1/2,-z+1/2'
loop_
_atom_site_label
_atom_site_type_symbol
_atom_site_fract_x
_atom_site_fract_y
_atom_site_fract_z
Rb1 Rb 0.0000 0.0000 0.0000
Si1 Si 0.0000 0.0000 0.5000
Ag1 Ag 0.0000 0.5000 0.2472
Se1 Se 0.1897 0.1897 0.3510
```

Top 6 peaks for 5° ≤ 2θ ≤ 70°, low angle first:
d = 4.337 Å, 20.48 deg, intensity 12; d = 3.276 Å, 27.22 deg, intensity 100; d = 2.971 Å, 30.08 deg, intensity 34; d = 2.500 Å, 35.92 deg, intensity 35; d = 1.988 Å, 45.64 deg, intensity 47; d = 1.848 Å, 49.30 deg, intensity 30

---

Theoretical XRD peak list
Compound: Cr4Cu3Se8
Radiation: λ = 1.5418 Å (Cu Kα)
Structure: the GGA-PBE geometry in Alexandria

Crystal structure
```
data_Cr4Cu3Se8
_symmetry_space_group_name_H-M 'I m m 2'
_symmetry_Int_Tables_number 44
_cell_length_a 7.4817
_cell_length_b 7.4859
_cell_length_c 10.5841
_cell_angle_alpha 90.00
_cell_angle_beta 90.00
_cell_angle_gamma 90.00
loop_
_symmetry_equiv_pos_as_xyz
'x,y,z'
'-x,-y,z'
'-x,y,z'
'x,-y,z'
'x+1/2,y+1/2,z+1/2'
'-x+1/2,-y+1/2,z+1/2'
'-x+1/2,y+1/2,z+1/2'
'x+1/2,-y+1/2,z+1/2'
loop_
_atom_site_label
_atom_site_type_symbol
_atom_site_fract_x
_atom_site_fract_y
_atom_site_fract_z
Cr1 Cr 0.0000 0.2417 0.0000
Cr2 Cr 0.2404 0.5000 0.7547
Cu1 Cu 0.0000 0.0000 0.6295
Cu2 Cu 0.0000 0.5000 0.1634
Cu3 Cu 0.0000 0.5000 0.3972
Se1 Se 0.0000 0.2200 0.2623
Se2 Se 0.0000 0.2639 0.7630
Se3 Se 0.2315 0.0000 0.0174
Se4 Se 0.2348 0.5000 0.9980
```

Top 6 peaks for 5° ≤ 2θ ≤ 70°, low angle first:
d = 3.191 Å, 27.96 deg, intensity 38; d = 3.055 Å, 29.23 deg, intensity 48; d = 2.646 Å, 33.88 deg, intensity 57; d = 2.037 Å, 44.48 deg, intensity 31; d = 1.871 Å, 48.67 deg, intensity 100; d = 1.596 Å, 57.78 deg, intensity 19